Diffraction record for Sm2USe5. The X-ray powder pattern is calculated, not measured: it uses a cell relaxed with GGA-PBE and Cu Kα.
No peak broadening, texture or thermal motion is included.

Cell and atoms:
```
data_Sm2USe5
_cell_length_a 12.380
_cell_length_b 8.377
_cell_length_c 7.817
_cell_angle_alpha 90.00
_cell_angle_beta 90.00
_cell_angle_gamma 90.00
_space_group_name_H-M_alt 'P n m a'
_space_group_IT_number 62
loop_
_space_group_symop_operation_xyz
'x,y,z'
'-x,-y,-z'
'-x+1/2,-y,z+1/2'
'x+1/2,y,-z+1/2'
'x+1/2,-y+1/2,-z+1/2'
'-x+1/2,y+1/2,z+1/2'
'-x,y+1/2,-z'
'x,-y+1/2,z'
loop_
_atom_site_label
_atom_site_type_symbol
_atom_site_fract_x
_atom_site_fract_y
_atom_site_fract_z
Sm1 Sm 0.179 0.002 0.027
U1 U 0.009 0.750 0.574
Se1 Se 0.001 0.250 0.042
Se2 Se 0.095 0.045 0.668
Se3 Se 0.187 0.750 0.331
Se4 Se 0.216 0.250 0.306
```

Largest 6 diffraction maxima, sorted by position, 10° ≤ 2θ ≤ 90°:
2θ/deg  d (Å)  I (rel.)  (hkl)
24.4  3.649  58.0  3 0 1
25.2  3.538  44.0  1 2 1
25.7  3.469  43.3  2 2 0
34.6  2.595  100.0  2 2 2
36.1  2.489  60.5  4 2 0
44.0  2.056  47.8  5 2 1